Entry 1:
Starting from the GGA-PBE geometry in OQMD, the PXRD pattern of Rb2GdTmTe4 was calculated for CuKα.

Cell and atoms:
```
data_Rb2GdTmTe4
_chemical_formula_sum 'Rb2 Gd1 Tm1 Te4'
_symmetry_space_group_name_H-M 'P -3 m 1'
_symmetry_Int_Tables_number 164
_symmetry_space_group_name_Hall '-P 3 2"'
_cell_length_a 4.5099
_cell_length_b 4.5099
_cell_length_c 17.1109
_cell_angle_alpha 90.00
_cell_angle_beta 90.00
_cell_angle_gamma 120.00
loop_
_atom_site_label
_atom_site_fract_x
_atom_site_fract_y
_atom_site_fract_z
Rb1 0.3333 0.6667 0.2481
Gd1 0.0000 0.0000 0.5000
Tm1 0.0000 0.0000 0.0000
Te1 0.3333 0.6667 0.6022
Te2 0.3333 0.6667 0.9020
```

Top 10 peaks for 15° ≤ 2θ ≤ 90°, low angle first:
2θ (°)	d [Å]	I_rel	index
25.1	3.553	45	0 1 2
27.7	3.223	100	1 0 3
31.0	2.884	45	1 0 4
39.1	2.303	47	1 0 6
40.0	2.255	58	1 1 0
49.3	1.848	20	0 2 3
57.2	1.611	15	0 2 6
59.6	1.552	15	1 1 8
65.3	1.429	17	2 1 3
72.0	1.311	15	2 1 6

Entry 2:
Starting from the GGA-PBE geometry in OQMD, the PXRD pattern of TbGdRe was calculated for CuKα.

Cell and atoms:
```
data_TbGdRe
_chemical_formula_sum 'Tb4 Gd4 Re4'
_symmetry_space_group_name_H-M 'F -4 3 m'
_symmetry_Int_Tables_number 216
_symmetry_space_group_name_Hall 'F -4 2 3'
_cell_length_a 6.767
_cell_length_b 6.767
_cell_length_c 6.767
_cell_angle_alpha 90.00
_cell_angle_beta 90.00
_cell_angle_gamma 90.00
loop_
_atom_site_label
_atom_site_fract_x
_atom_site_fract_y
_atom_site_fract_z
Tb1 0.000 0.000 0.000
Gd1 0.250 0.250 0.750
Re1 0.000 0.000 0.500
```

Top 10 peaks for 15° ≤ 2θ ≤ 90°, low angle first:
2θ (°)	d [Å]	I_rel	index
22.8	3.907	24	1 1 1
26.3	3.383	18	2 0 0
37.6	2.392	100	2 2 0
44.4	2.040	13	3 1 1
46.5	1.953	5	2 2 2
54.2	1.692	18	4 0 0
59.6	1.552	5	3 3 1
61.3	1.513	7	4 2 0
67.9	1.381	36	4 2 2
80.3	1.196	11	4 4 0

Entry 3:
Starting from the GGA-PBE geometry in OQMD, the PXRD pattern of Gd2S3 was calculated for CuKα.

Cell and atoms:
```
data_Gd2S3
_chemical_formula_sum 'Gd8 S12'
_symmetry_space_group_name_H-M 'P n m a'
_symmetry_Int_Tables_number 62
_cell_length_a 10.753
_cell_length_b 3.914
_cell_length_c 10.522
_cell_angle_alpha 90.00
_cell_angle_beta 90.00
_cell_angle_gamma 90.00
loop_
_symmetry_equiv_pos_as_xyz
'x,y,z'
'-x,-y,-z'
'-x+1/2,-y,z+1/2'
'x+1/2,y,-z+1/2'
'x+1/2,-y+1/2,-z+1/2'
'-x+1/2,y+1/2,z+1/2'
'-x,y+1/2,-z'
'x,-y+1/2,z'
loop_
_atom_site_label
_atom_site_fract_x
_atom_site_fract_y
_atom_site_fract_z
Gd1 0.010 0.250 0.186
Gd2 0.192 0.250 0.504
S1 0.046 0.750 0.373
S2 0.120 0.250 0.944
S3 0.228 0.750 0.697
```

Top 10 peaks for 15° ≤ 2θ ≤ 90°, low angle first:
2θ (°)	d [Å]	I_rel	index
23.7	3.760	100	2 0 2
24.3	3.668	45	0 1 1
25.7	3.472	44	1 1 1
26.3	3.393	56	3 0 1
26.7	3.334	49	1 0 3
29.6	3.014	49	1 1 2
35.4	2.538	59	1 1 3
38.1	2.362	51	2 0 4
44.4	2.042	36	4 1 2
46.4	1.957	38	0 2 0

Entry 4:
Starting from the GGA-PBE geometry in OQMD, the PXRD pattern of GdS was calculated for CuKα.

Cell and atoms:
```
data_GdS
_chemical_formula_sum 'Gd4 S4'
_symmetry_space_group_name_H-M 'F m -3 m'
_symmetry_Int_Tables_number 225
_symmetry_space_group_name_Hall '-F 4 2 3'
_cell_length_a 5.581
_cell_length_b 5.581
_cell_length_c 5.581
_cell_angle_alpha 90.00
_cell_angle_beta 90.00
_cell_angle_gamma 90.00
loop_
_atom_site_label
_atom_site_fract_x
_atom_site_fract_y
_atom_site_fract_z
Gd1 0.000 0.000 0.000
S1 0.000 0.000 0.500
```

Top 9 peaks for 15° ≤ 2θ ≤ 90°, low angle first:
2θ (°)	d [Å]	I_rel	index
27.7	3.222	80	1 1 1
32.1	2.790	100	2 0 0
46.0	1.973	72	2 2 0
54.5	1.683	39	3 1 1
57.2	1.611	25	2 2 2
67.1	1.395	12	4 0 0
74.0	1.280	16	3 3 1
76.3	1.248	32	4 2 0
85.2	1.139	25	4 2 2

Entry 5:
Starting from the GGA-PBE geometry in OQMD, the PXRD pattern of Gd2S3 was calculated for CuKα.

Cell and atoms:
```
data_Gd2S3
_chemical_formula_sum 'Gd8 S12'
_symmetry_space_group_name_H-M 'P n m a'
_symmetry_Int_Tables_number 62
_cell_length_a 7.347
_cell_length_b 3.937
_cell_length_c 15.295
_cell_angle_alpha 90.00
_cell_angle_beta 90.00
_cell_angle_gamma 90.00
loop_
_symmetry_equiv_pos_as_xyz
'x,y,z'
'-x,-y,-z'
'-x+1/2,-y,z+1/2'
'x+1/2,y,-z+1/2'
'x+1/2,-y+1/2,-z+1/2'
'-x+1/2,y+1/2,z+1/2'
'-x,y+1/2,-z'
'x,-y+1/2,z'
loop_
_atom_site_label
_atom_site_fract_x
_atom_site_fract_y
_atom_site_fract_z
Gd1 0.142 0.250 0.204
Gd2 0.234 0.750 0.457
S1 0.009 0.250 0.391
S2 0.125 0.750 0.067
S3 0.149 0.250 0.781
```

Top 10 peaks for 15° ≤ 2θ ≤ 90°, low angle first:
2θ (°)	d [Å]	I_rel	index
23.3	3.819	20	0 0 4
24.2	3.674	17	2 0 0
24.9	3.572	23	2 0 1
26.3	3.388	100	1 0 4
28.6	3.116	30	0 1 3
35.4	2.534	40	2 1 2
37.9	2.376	19	2 1 3
39.3	2.295	26	1 1 5
46.1	1.969	19	0 2 0
49.3	1.850	18	1 0 8

Entry 6:
Starting from the GGA-PBE geometry in OQMD, the PXRD pattern of Gd4Te3S4 was calculated for CuKα.

Cell and atoms:
```
data_Gd4Te3S4
_chemical_formula_sum 'Gd8 Te6 S8'
_symmetry_space_group_name_H-M 'C 1 2/m 1'
_symmetry_Int_Tables_number 12
_cell_length_a 6.803
_cell_length_b 13.999
_cell_length_c 6.791
_cell_angle_alpha 90.00
_cell_angle_beta 103.09
_cell_angle_gamma 90.00
loop_
_symmetry_equiv_pos_as_xyz
'x,y,z'
'-x,-y,-z'
'-x,y,-z'
'x,-y,z'
'x+1/2,y+1/2,z'
'-x+1/2,-y+1/2,-z'
'-x+1/2,y+1/2,-z'
'x+1/2,-y+1/2,z'
loop_
_atom_site_label
_atom_site_fract_x
_atom_site_fract_y
_atom_site_fract_z
Gd1 0.240 0.161 0.244
Te1 0.000 0.500 0.500
Te2 0.132 0.000 0.867
S1 0.000 0.218 0.500
S2 0.000 0.287 0.000
```

Top 10 peaks for 15° ≤ 2θ ≤ 90°, low angle first:
2θ (°)	d [Å]	I_rel	index
17.8	4.975	43	1 1 -1
25.4	3.509	22	1 3 -1
26.9	3.310	14	0 0 2
28.5	3.133	100	1 3 1
37.4	2.405	27	2 4 0
38.6	2.333	17	0 6 0
40.6	2.224	15	1 1 -3
42.8	2.114	18	2 0 2
44.7	2.028	17	1 3 -3
47.7	1.907	12	0 6 2

Entry 7:
Starting from the GGA-PBE geometry in OQMD, the PXRD pattern of SmGdSc2Sb2 was calculated for CuKα.

Cell and atoms:
```
data_SmGdSc2Sb2
_chemical_formula_sum 'Sm2 Gd2 Sc4 Sb4'
_symmetry_space_group_name_H-M 'I 4 m m'
_symmetry_Int_Tables_number 107
_symmetry_space_group_name_Hall 'I 4 -2'
_cell_length_a 4.395
_cell_length_b 4.395
_cell_length_c 16.430
_cell_angle_alpha 90.00
_cell_angle_beta 90.00
_cell_angle_gamma 90.00
loop_
_atom_site_label
_atom_site_fract_x
_atom_site_fract_y
_atom_site_fract_z
Sm1 0.000 0.000 0.000
Gd1 0.000 0.000 0.352
Sc1 0.000 0.500 0.176
Sb1 0.000 0.000 0.547
Sb2 0.000 0.000 0.805
```

Top 10 peaks for 15° ≤ 2θ ≤ 90°, low angle first:
2θ (°)	d [Å]	I_rel	index
21.6	4.107	27	0 0 4
28.7	3.107	100	1 1 0
30.8	2.906	65	1 1 2
32.7	2.738	29	0 0 6
34.1	2.632	85	1 0 5
36.2	2.478	91	1 1 4
41.1	2.197	74	2 0 0
53.5	1.714	30	2 0 6
54.4	1.686	69	1 0 9
70.4	1.338	33	2 1 9

Entry 8:
Starting from the GGA-PBE geometry in OQMD, the PXRD pattern of Gd2ZrScSb2 was calculated for CuKα.

Cell and atoms:
```
data_Gd2ZrScSb2
_chemical_formula_sum 'Gd4 Zr2 Sc2 Sb4'
_symmetry_space_group_name_H-M 'I m m m'
_symmetry_Int_Tables_number 71
_symmetry_space_group_name_Hall '-I 2 2'
_cell_length_a 4.333
_cell_length_b 4.343
_cell_length_c 16.560
_cell_angle_alpha 90.00
_cell_angle_beta 90.00
_cell_angle_gamma 90.00
loop_
_atom_site_label
_atom_site_fract_x
_atom_site_fract_y
_atom_site_fract_z
Gd1 0.000 0.000 0.175
Zr1 0.000 0.500 0.500
Sc1 0.000 0.500 0.000
Sb1 0.000 0.000 0.369
```

Top 10 peaks for 15° ≤ 2θ ≤ 90°, low angle first:
2θ (°)	d [Å]	I_rel	index
29.1	3.067	70	1 1 0
31.1	2.876	81	1 1 2
32.4	2.760	37	0 0 6
34.1	2.633	71	0 1 5
36.5	2.465	100	1 1 4
41.6	2.169	74	2 0 0
53.8	1.705	35	2 0 6
54.9	1.674	36	2 1 5
60.4	1.534	24	2 2 0
80.8	1.189	23	2 1 11

Entry 9:
Starting from the GGA-PBE geometry in OQMD, the PXRD pattern of SmGdZr2Sb2 was calculated for CuKα.

Cell and atoms:
```
data_SmGdZr2Sb2
_chemical_formula_sum 'Sm2 Gd2 Zr4 Sb4'
_symmetry_space_group_name_H-M 'I 4 m m'
_symmetry_Int_Tables_number 107
_symmetry_space_group_name_Hall 'I 4 -2'
_cell_length_a 4.306
_cell_length_b 4.306
_cell_length_c 16.840
_cell_angle_alpha 90.00
_cell_angle_beta 90.00
_cell_angle_gamma 90.00
loop_
_atom_site_label
_atom_site_fract_x
_atom_site_fract_y
_atom_site_fract_z
Sm1 0.000 0.000 0.000
Gd1 0.000 0.000 0.354
Zr1 0.000 0.500 0.178
Sb1 0.000 0.000 0.547
Sb2 0.000 0.000 0.809
```

Top 10 peaks for 15° ≤ 2θ ≤ 90°, low angle first:
2θ (°)	d [Å]	I_rel	index
29.3	3.045	45	1 1 0
31.2	2.863	91	1 1 2
31.9	2.807	38	0 0 6
33.8	2.653	65	1 0 5
36.4	2.467	100	1 1 4
42.0	2.153	71	2 0 0
53.7	1.708	35	2 0 6
54.9	1.672	32	2 1 5
60.8	1.522	23	2 2 0
73.0	1.296	25	3 1 4

Entry 10:
Starting from the GGA-PBE geometry in OQMD, the PXRD pattern of TbGd2Sb3 was calculated for CuKα.

Cell and atoms:
```
data_TbGd2Sb3
_chemical_formula_sum 'Tb1 Gd2 Sb3'
_symmetry_space_group_name_H-M 'P -3 m 1'
_symmetry_Int_Tables_number 164
_symmetry_space_group_name_Hall '-P 3 2"'
_cell_length_a 4.4109
_cell_length_b 4.4109
_cell_length_c 10.7980
_cell_angle_alpha 90.00
_cell_angle_beta 90.00
_cell_angle_gamma 120.00
loop_
_atom_site_label
_atom_site_fract_x
_atom_site_fract_y
_atom_site_fract_z
Tb1 0.0000 0.0000 0.0000
Gd1 0.3333 0.6667 0.6669
Sb1 0.0000 0.0000 0.5000
Sb2 0.3333 0.6667 0.1656
```

Top 10 peaks for 15° ≤ 2θ ≤ 90°, low angle first:
2θ (°)	d [Å]	I_rel	index
24.7	3.601	3	1 0 1
28.6	3.118	100	0 1 2
40.9	2.205	76	1 1 0
48.4	1.880	2	1 1 3
50.7	1.800	27	2 0 2
59.3	1.559	13	0 2 4
65.2	1.431	1	2 0 5
67.1	1.395	35	1 2 2
74.5	1.273	26	3 0 0
88.7	1.103	9	2 2 0

Entry 11:
Starting from the GGA-PBE geometry in OQMD, the PXRD pattern of Gd2Sc was calculated for CuKα.

Cell and atoms:
abc: 9.016 9.016 9.016
angles: 90.00 90.00 90.00
Space group Fd-3m (No. 227, origin choice 2)
Unique sites:
Gd  0.000  0.000  0.000 (multiplicity 16)
Sc  0.125  0.125  0.625 (multiplicity 8)

Top 10 peaks for 15° ≤ 2θ ≤ 90°, low angle first:
2θ (°)	d [Å]	I_rel	index
17.0	5.206	71	1 1 1
32.9	2.719	100	3 1 1
34.5	2.603	81	2 2 2
40.0	2.254	30	4 0 0
43.8	2.069	20	3 3 1
52.8	1.735	35	5 1 1
57.9	1.594	36	4 4 0
60.8	1.524	16	5 3 1
69.1	1.359	32	6 2 2
82.1	1.174	21	7 3 1

Entry 12:
Starting from the GGA-PBE geometry in OQMD, the PXRD pattern of GdScZn2Sn2 was calculated for CuKα.

Cell and atoms:
```
data_GdScZn2Sn2
_chemical_formula_sum 'Gd2 Sc2 Zn4 Sn4'
_symmetry_space_group_name_H-M 'P 63/m m c'
_symmetry_Int_Tables_number 194
_symmetry_space_group_name_Hall '-P 6c 2c'
_cell_length_a 4.4956
_cell_length_b 4.4956
_cell_length_c 15.1302
_cell_angle_alpha 90.00
_cell_angle_beta 90.00
_cell_angle_gamma 120.00
loop_
_atom_site_label
_atom_site_fract_x
_atom_site_fract_y
_atom_site_fract_z
Gd1 0.0000 0.0000 0.2500
Sc1 0.0000 0.0000 0.0000
Zn1 0.3333 0.6667 0.1544
Sn1 0.3333 0.6667 0.6056
```

Top 10 peaks for 15° ≤ 2θ ≤ 90°, low angle first:
2θ (°)	d [Å]	I_rel	index
25.7	3.462	18	1 0 2
29.0	3.082	29	1 0 3
33.0	2.713	100	1 0 4
40.1	2.248	78	1 1 0
48.1	1.890	25	0 0 8
52.9	1.731	26	2 0 4
64.4	1.447	22	1 1 8
68.4	1.371	24	2 1 4
72.9	1.297	20	3 0 0
86.6	1.124	13	2 2 0

Entry 13:
Starting from the GGA-PBE geometry in OQMD, the PXRD pattern of Gd2TmScTl2 was calculated for CuKα.

Cell and atoms:
```
data_Gd2TmScTl2
_chemical_formula_sum 'Gd2 Tm1 Sc1 Tl2'
_symmetry_space_group_name_H-M 'P -6 m 2'
_symmetry_Int_Tables_number 187
_symmetry_space_group_name_Hall 'P -6 2'
_cell_length_a 5.2870
_cell_length_b 5.2870
_cell_length_c 6.6710
_cell_angle_alpha 90.00
_cell_angle_beta 90.00
_cell_angle_gamma 120.00
loop_
_atom_site_label
_atom_site_fract_x
_atom_site_fract_y
_atom_site_fract_z
Gd1 0.0000 0.0000 0.2414
Tm1 0.6667 0.3333 0.5000
Sc1 0.3333 0.6667 0.0000
Tl1 0.3333 0.6667 0.5000
Tl2 0.6667 0.3333 0.0000
```

Top 10 peaks for 15° ≤ 2θ ≤ 90°, low angle first:
2θ (°)	d [Å]	I_rel	index
23.6	3.775	18	1 0 1
33.2	2.696	96	1 0 2
33.9	2.643	100	1 1 0
48.2	1.888	34	2 0 2
60.2	1.536	35	2 1 2
60.7	1.526	19	3 0 0
66.3	1.411	29	1 1 4
71.4	1.322	12	2 2 0
81.0	1.187	15	3 1 2
86.4	1.126	14	3 0 4